Starting from a DFT-relaxed cell (GGA+U, Alexandria), the XRD peak list of Fe7O8 was simulated for Cu Kα X-rays.

Largest 8 diffraction maxima, sorted by position, 2θ = 15–90°:
hkl  2θ/deg  I_rel
1 1 1  17.99  19
2 0 0  20.80  8
3 1 1  34.83  8
2 2 2  36.44  57
4 0 0  42.32  100
4 4 0  61.40  57
6 2 2  73.54  22
4 4 4  77.40  17

Crystal structure
```
data_Fe7O8
_symmetry_space_group_name_H-M 'F m -3 m'
_symmetry_Int_Tables_number 225
_symmetry_space_group_name_Hall '-F 4 2 3'
_cell_length_a 8.542
_cell_length_b 8.542
_cell_length_c 8.542
_cell_angle_alpha 90.00
_cell_angle_beta 90.00
_cell_angle_gamma 90.00
loop_
_atom_site_label
_atom_site_fract_x
_atom_site_fract_y
_atom_site_fract_z
Fe1 0.000 0.000 0.000
Fe2 0.000 0.250 0.250
O1 0.000 0.000 0.240
O2 0.250 0.250 0.250
```